No. 1
This entry pairs a crystal structure of AcLaTlPb with its theoretical XRD peak list. Radiation: λ = 1.5418 Å (Cu Kα). Structure: the PBE geometry in Alexandria.
Kinematic intensities with the Lorentz-polarization factor, no thermal factor.

Cell and atoms:
```
data_AcLaTlPb
_chemical_formula_sum 'Ac1 La1 Tl1 Pb1'
_cell_length_a 4.2391
_cell_length_b 4.2391
_cell_length_c 7.4912
_cell_angle_alpha 90.00
_cell_angle_beta 90.00
_cell_angle_gamma 90.00
_symmetry_space_group_name_H-M 'P 4 m m'
_symmetry_Int_Tables_number 99
loop_
_symmetry_equiv_pos_as_xyz
'x,y,z'
'-y,x,z'
'-x,-y,z'
'y,-x,z'
'-x,y,z'
'y,x,z'
'x,-y,z'
'-y,-x,z'
loop_
_atom_site_label
_atom_site_type_symbol
_atom_site_fract_x
_atom_site_fract_y
_atom_site_fract_z
Ac1 Ac 0.0000 0.0000 0.0000
La1 La 0.0000 0.0000 0.5052
Tl1 Tl 0.5000 0.5000 0.2649
Pb1 Pb 0.5000 0.5000 0.7378
```

Top 10 peaks for 10 to 80 degrees two-theta, most intense first:
d/Å, Position (°2θ), I_rel
2.807, 31.88, 100
2.997, 29.81, 60
1.691, 54.23, 46
2.120, 42.66, 23
1.588, 58.08, 18
1.403, 66.64, 12
1.341, 70.21, 11
1.322, 71.34, 10
1.499, 61.91, 8
1.873, 48.62, 7

---

No. 2
This entry pairs a crystal structure of Dy2Sc7 with its theoretical XRD peak list. Radiation: λ = 1.5418 Å (Cu Kα). Structure: the PBE geometry in Alexandria.
Kinematic intensities with the Lorentz-polarization factor, no thermal factor.

Cell and atoms:
```
data_Dy2Sc7
_chemical_formula_sum 'Dy2 Sc7'
_cell_length_a 5.7532
_cell_length_b 5.7532
_cell_length_c 8.1234
_cell_angle_alpha 90.00
_cell_angle_beta 90.00
_cell_angle_gamma 120.00
_symmetry_space_group_name_H-M 'P -3 1 m'
_symmetry_Int_Tables_number 162
_symmetry_space_group_name_Hall '-P 3 2'
loop_
_atom_site_label
_atom_site_type_symbol
_atom_site_fract_x
_atom_site_fract_y
_atom_site_fract_z
Dy1 Dy 0.3333 0.6667 0.0000
Sc1 Sc 0.0000 0.0000 0.0000
Sc2 Sc 0.0000 0.3309 0.6604
```

Top 10 peaks for 10 to 80 degrees two-theta, most intense first:
d/Å, Position (°2θ), I_rel
2.711, 33.05, 100
2.347, 38.34, 50
1.416, 65.99, 36
8.123, 10.89, 34
1.660, 55.35, 32
4.247, 20.92, 14
2.877, 31.09, 10
4.062, 21.88, 10
4.982, 17.80, 9
1.356, 69.31, 8

---

No. 3
This entry pairs a crystal structure of BaHoZn2Pt2 with its theoretical XRD peak list. Radiation: λ = 1.5418 Å (Cu Kα). Structure: the PBE geometry in Alexandria.
Kinematic intensities with the Lorentz-polarization factor, no thermal factor.

Cell and atoms:
```
data_BaHoZn2Pt2
_chemical_formula_sum 'Ba1 Ho1 Zn2 Pt2'
_cell_length_a 4.5279
_cell_length_b 4.5279
_cell_length_c 7.8750
_cell_angle_alpha 90.00
_cell_angle_beta 90.00
_cell_angle_gamma 120.00
_symmetry_space_group_name_H-M 'P -3 m 1'
_symmetry_Int_Tables_number 164
_symmetry_space_group_name_Hall '-P 3 2"'
loop_
_atom_site_label
_atom_site_type_symbol
_atom_site_fract_x
_atom_site_fract_y
_atom_site_fract_z
Ba1 Ba 0.0000 0.0000 0.0000
Ho1 Ho 0.0000 0.0000 0.5000
Zn1 Zn 0.3333 0.6667 0.6952
Pt1 Pt 0.3333 0.6667 0.3136
```

Top 10 peaks for 10 to 80 degrees two-theta, most intense first:
d/Å, Position (°2θ), I_rel
2.778, 32.22, 100
2.264, 39.82, 73
7.875, 11.24, 39
3.510, 25.37, 28
1.755, 52.11, 26
1.387, 67.53, 24
1.714, 53.45, 19
2.181, 41.39, 15
1.759, 51.97, 13
1.307, 72.29, 13